(1)
Diffraction record for La2PuNpP4. The XRD peak list is theoretical, not measured: it uses the PBE geometry in Alexandria and Cu Ka.

Top 12 peaks for 2θ = 10–90°, sorted by position:
2θ = 13.1°, 6.738 Å, I 13; 2θ = 26.5°, 3.365 Å, I 97; 2θ = 30.7°, 2.914 Å, I 100; 2θ = 43.9°, 2.061 Å, I 62; 2θ = 44.0°, 2.058 Å, I 12; 2θ = 52.0°, 1.757 Å, I 50; 2θ = 54.5°, 1.684 Å, I 13; 2θ = 54.6°, 1.681 Å, I 13; 2θ = 70.5°, 1.337 Å, I 13; 2θ = 72.5°, 1.304 Å, I 16; 2θ = 72.6°, 1.303 Å, I 17; 2θ = 80.8°, 1.189 Å, I 15

Crystal structure
```
La2PuNpP4
1.0
7.139 0.000 0.000
0.000 4.116 0.000
-2.373 0.000 6.738
La Pu Np P
2 1 1 4
direct
0.000 0.000 0.000
0.500 0.500 0.000
0.000 0.500 0.500
0.500 0.000 0.500
0.245 0.000 0.728
0.260 0.500 0.273
0.740 0.500 0.727
0.755 0.000 0.272
```



(2)
Diffraction record for CaPmCdAg. The XRD peak list is theoretical, not measured: it uses the PBE geometry in Alexandria and Cu Ka.

Top 12 peaks for 2θ = 10–90°, sorted by position:
2θ = 11.6°, 7.608 Å, I 20; 2θ = 26.4°, 3.375 Å, I 10; 2θ = 33.5°, 2.676 Å, I 100; 2θ = 33.7°, 2.662 Å, I 50; 2θ = 35.7°, 2.513 Å, I 6; 2θ = 47.8°, 1.902 Å, I 9; 2θ = 48.3°, 1.883 Å, I 17; 2θ = 59.8°, 1.548 Å, I 18; 2θ = 60.1°, 1.540 Å, I 35; 2θ = 70.4°, 1.338 Å, I 11; 2θ = 79.8°, 1.202 Å, I 7; 2θ = 80.7°, 1.191 Å, I 15

Crystal structure
```
CaPmCdAg
1.0
3.765 0.000 0.000
0.000 3.765 0.000
0.000 0.000 7.608
Ca Pm Cd Ag
1 1 1 1
direct
0.000 0.000 0.000
0.000 0.000 0.482
0.500 0.500 0.738
0.500 0.500 0.247
```



(3)
Diffraction record for HgPtSe2. The XRD peak list is theoretical, not measured: it uses the PBE geometry in Alexandria and Cu Ka.

Top 12 peaks for 2θ = 10–90°, sorted by position:
2θ = 19.3°, 4.607 Å, I 57; 2θ = 27.5°, 3.247 Å, I 18; 2θ = 29.2°, 3.062 Å, I 100; 2θ = 33.8°, 2.654 Å, I 55; 2θ = 40.4°, 2.231 Å, I 64; 2θ = 48.5°, 1.879 Å, I 15; 2θ = 48.6°, 1.874 Å, I 39; 2θ = 52.7°, 1.736 Å, I 25; 2θ = 57.5°, 1.603 Å, I 25; 2θ = 57.7°, 1.599 Å, I 18; 2θ = 65.0°, 1.435 Å, I 16; 2θ = 85.1°, 1.140 Å, I 16

Crystal structure
```
HgPtSe2
1.0
3.749 0.000 0.000
-1.874 3.247 0.000
0.000 0.000 9.214
Hg Pt Se
1 1 2
direct
0.000 0.000 0.000
0.667 0.333 0.527
0.000 0.000 0.384
0.333 0.667 0.670
```



(4)
Diffraction record for Sr6PAu3. The XRD peak list is theoretical, not measured: it uses the PBE geometry in Alexandria and Cu Ka.

Top 12 peaks for 2θ = 10–90°, sorted by position:
2θ = 13.9°, 6.381 Å, I 57; 2θ = 22.1°, 4.019 Å, I 69; 2θ = 22.5°, 3.945 Å, I 74; 2θ = 25.7°, 3.471 Å, I 60; 2θ = 27.1°, 3.289 Å, I 97; 2θ = 28.3°, 3.151 Å, I 39; 2θ = 28.9°, 3.094 Å, I 100; 2θ = 31.8°, 2.816 Å, I 81; 2θ = 32.0°, 2.794 Å, I 59; 2θ = 34.3°, 2.617 Å, I 67; 2θ = 40.1°, 2.248 Å, I 64; 2θ = 40.8°, 2.210 Å, I 61

Crystal structure
```
Sr6PAu3
1.0
7.611 0.000 0.000
0.000 8.363 0.000
-7.327 0.000 11.269
Sr P Au
12 2 6
direct
0.091 0.049 0.244
0.091 0.451 0.744
0.238 0.688 0.074
0.238 0.812 0.574
0.389 0.175 0.067
0.389 0.325 0.567
0.611 0.675 0.433
0.611 0.825 0.933
0.762 0.188 0.426
0.762 0.312 0.926
0.909 0.549 0.256
0.909 0.951 0.756
0.000 0.000 0.000
0.000 0.500 0.500
0.311 0.109 0.761
0.311 0.391 0.261
0.500 0.000 0.500
0.500 0.500 0.000
0.689 0.609 0.739
0.689 0.891 0.239
```



(5)
Diffraction record for Sr2CoC4. The XRD peak list is theoretical, not measured: it uses the PBE geometry in Alexandria and Cu Ka.

Top 12 peaks for 2θ = 10–90°, sorted by position:
2θ = 25.8°, 3.447 Å, I 100; 2θ = 26.3°, 3.384 Å, I 71; 2θ = 28.3°, 3.152 Å, I 19; 2θ = 30.0°, 2.975 Å, I 58; 2θ = 31.5°, 2.836 Å, I 18; 2θ = 33.9°, 2.648 Å, I 23; 2θ = 36.4°, 2.467 Å, I 42; 2θ = 36.8°, 2.441 Å, I 33; 2θ = 39.7°, 2.271 Å, I 37; 2θ = 41.6°, 2.171 Å, I 44; 2θ = 46.9°, 1.935 Å, I 44; 2θ = 55.9°, 1.646 Å, I 59

Crystal structure
```
Sr2CoC4
1.0
-3.791 5.672 2.648
3.791 -5.672 2.648
3.791 5.672 -2.648
Sr Co C
4 2 8
direct
0.142 0.177 0.319
0.358 0.677 0.035
0.642 0.323 0.965
0.858 0.823 0.681
0.250 0.750 0.500
0.750 0.250 0.500
0.078 0.659 0.736
0.128 0.813 0.942
0.372 0.313 0.685
0.422 0.159 0.581
0.578 0.841 0.419
0.628 0.687 0.315
0.872 0.187 0.058
0.922 0.341 0.264
```



(6)
Diffraction record for TeBrN. The XRD peak list is theoretical, not measured: it uses the PBE geometry in Alexandria and Cu Ka.

Top 12 peaks for 2θ = 10–90°, sorted by position:
2θ = 25.9°, 3.442 Å, I 63; 2θ = 27.2°, 3.284 Å, I 100; 2θ = 27.8°, 3.214 Å, I 73; 2θ = 29.1°, 3.071 Å, I 90; 2θ = 30.1°, 2.973 Å, I 87; 2θ = 31.6°, 2.831 Å, I 60; 2θ = 37.3°, 2.410 Å, I 38; 2θ = 37.9°, 2.373 Å, I 41; 2θ = 38.5°, 2.341 Å, I 34; 2θ = 43.2°, 2.096 Å, I 33; 2θ = 44.2°, 2.051 Å, I 35; 2θ = 52.3°, 1.748 Å, I 36

Crystal structure
```
TeBrN
1.0
3.229 0.000 0.000
0.022 4.198 0.000
1.342 1.410 14.047
Te Br N
2 2 2
direct
0.008 0.225 0.074
0.992 0.775 0.926
0.133 0.671 0.232
0.867 0.329 0.768
0.487 0.902 0.530
0.513 0.098 0.470
```



(7)
Diffraction record for Tb4TlAg2Au. The XRD peak list is theoretical, not measured: it uses the PBE geometry in Alexandria and Cu Ka.

Top 12 peaks for 2θ = 10–90°, sorted by position:
2θ = 20.9°, 4.251 Å, I 4; 2θ = 31.6°, 2.834 Å, I 1; 2θ = 34.5°, 2.603 Å, I 100; 2θ = 40.6°, 2.220 Å, I 3; 2θ = 47.4°, 1.917 Å, I 1; 2θ = 49.5°, 1.841 Å, I 18; 2θ = 54.3°, 1.689 Å, I 1; 2θ = 61.7°, 1.503 Å, I 35; 2θ = 65.6°, 1.424 Å, I 2; 2θ = 72.6°, 1.301 Å, I 11; 2θ = 76.6°, 1.244 Å, I 1; 2θ = 82.9°, 1.164 Å, I 15

Crystal structure
```
Tb4TlAg2Au
1.0
2.603 1.503 8.503
-2.603 1.503 8.503
0.000 -3.005 8.503
Tb Tl Ag Au
4 1 2 1
direct
0.120 0.120 0.120
0.370 0.370 0.370
0.630 0.630 0.630
0.880 0.880 0.880
0.500 0.500 0.500
0.245 0.245 0.245
0.755 0.755 0.755
0.000 0.000 0.000
```



(8)
Diffraction record for MgInI4. The XRD peak list is theoretical, not measured: it uses the PBE geometry in Alexandria and Cu Ka.

Top 12 peaks for 2θ = 10–90°, sorted by position:
2θ = 11.7°, 7.557 Å, I 36; 2θ = 23.5°, 3.778 Å, I 20; 2θ = 26.1°, 3.413 Å, I 35; 2θ = 26.6°, 3.347 Å, I 100; 2θ = 33.4°, 2.685 Å, I 18; 2θ = 33.7°, 2.657 Å, I 40; 2θ = 41.1°, 2.194 Å, I 28; 2θ = 42.3°, 2.135 Å, I 15; 2θ = 42.8°, 2.111 Å, I 14; 2θ = 43.4°, 2.085 Å, I 27; 2θ = 49.0°, 1.860 Å, I 11; 2θ = 50.4°, 1.811 Å, I 15

Crystal structure
```
MgInI4
1.0
8.456 -2.135 0.000
8.456 2.135 0.000
-3.443 0.000 6.856
Mg In I
1 1 4
direct
0.000 0.000 0.000
0.500 0.500 0.500
0.117 0.117 0.809
0.388 0.388 0.738
0.612 0.612 0.262
0.883 0.883 0.191
```



(9)
Diffraction record for La2Nd5Y6. The XRD peak list is theoretical, not measured: it uses the PBE geometry in Alexandria and Cu Ka.

Top 12 peaks for 2θ = 10–90°, sorted by position:
2θ = 30.0°, 2.975 Å, I 22; 2θ = 30.3°, 2.947 Å, I 49; 2θ = 31.0°, 2.887 Å, I 100; 2θ = 31.1°, 2.872 Å, I 19; 2θ = 31.3°, 2.862 Å, I 17; 2θ = 31.6°, 2.832 Å, I 81; 2θ = 33.6°, 2.664 Å, I 27; 2θ = 34.3°, 2.611 Å, I 22; 2θ = 35.9°, 2.501 Å, I 25; 2θ = 50.2°, 1.818 Å, I 19; 2θ = 60.2°, 1.537 Å, I 24; 2θ = 61.4°, 1.509 Å, I 16

Crystal structure
```
La2Nd5Y6
1.0
11.909 0.000 0.000
0.000 20.800 0.000
0.000 0.000 3.635
La Nd Y
4 10 12
direct
0.169 0.219 0.000
0.331 0.719 0.000
0.669 0.281 0.000
0.831 0.781 0.000
0.000 0.500 0.500
0.091 0.780 0.500
0.203 0.051 0.500
0.297 0.551 0.500
0.409 0.280 0.500
0.500 0.000 0.500
0.591 0.720 0.500
0.703 0.449 0.500
0.797 0.949 0.500
0.909 0.220 0.500
0.059 0.924 0.000
0.076 0.636 0.000
0.182 0.374 0.500
0.318 0.874 0.500
0.424 0.136 0.000
0.441 0.424 0.000
0.559 0.576 0.000
0.576 0.864 0.000
0.682 0.126 0.500
0.818 0.626 0.500
0.924 0.364 0.000
0.941 0.076 0.000
```